No. 1
Diffraction record for Li3MgZn2. The X-ray diffraction stick pattern is computed, not measured: it uses a cell relaxed with GGA-PBE and CuKα.
Neutral-atom scattering factors, no anomalous dispersion.

Most intense lines, 2θ from 10° to 90°, sorted by position:
| 2θ (°) | I/Imax |
| --- | --- |
| 18.60 | 100 |
| 20.92 | 21 |
| 24.86 | 92 |
| 39.09 | 69 |
| 40.00 | 61 |
| 40.28 | 61 |
| 41.90 | 34 |
| 44.72 | 20 |
| 56.06 | 18 |
| 58.28 | 19 |

Structure:
```
Li3MgZn2
1.0
6.7215 -2.2383 0.0000
6.7215 2.2383 0.0000
-0.2044 0.0000 6.5639
Li Mg Zn
6 2 4
Direct
0.0820 0.0820 0.3797
0.2546 0.2546 0.6116
0.4165 0.4165 0.8587
0.5835 0.5835 0.1413
0.7454 0.7454 0.3884
0.9180 0.9180 0.6202
0.0949 0.0949 0.8724
0.9051 0.9051 0.1276
0.2594 0.2594 0.1371
0.4201 0.4201 0.3858
0.5799 0.5799 0.6142
0.7406 0.7406 0.8629
```

=====

No. 2
Diffraction record for Li7Mg3Zn2. The X-ray diffraction stick pattern is computed, not measured: it uses a cell relaxed with GGA-PBE and CuKα.
Neutral-atom scattering factors, no anomalous dispersion.

Most intense lines, 2θ from 10° to 90°, sorted by position:
| 2θ (°) | I/Imax |
| --- | --- |
| 11.62 | 100 |
| 17.47 | 80 |
| 19.28 | 42 |
| 27.97 | 41 |
| 28.15 | 24 |
| 34.19 | 41 |
| 35.22 | 58 |
| 38.66 | 31 |
| 39.96 | 30 |
| 40.09 | 30 |

Structure:
```
Li7Mg3Zn2
1.0
4.6576 0.0000 0.0000
0.0000 3.1914 0.0000
-2.2341 0.0000 15.2284
Li Mg Zn
7 3 2
Direct
0.0000 0.0000 0.0000
0.0875 0.5000 0.1767
0.2694 0.5000 0.5393
0.4234 0.0000 0.8438
0.5766 0.0000 0.1562
0.7306 0.5000 0.4607
0.9125 0.5000 0.8233
0.1751 0.0000 0.3523
0.5000 0.5000 0.0000
0.8249 0.0000 0.6477
0.3561 0.5000 0.7094
0.6439 0.5000 0.2906
```

=====

No. 3
Diffraction record for Li2MgZn9. The X-ray diffraction stick pattern is computed, not measured: it uses a cell relaxed with GGA-PBE and CuKα.
Neutral-atom scattering factors, no anomalous dispersion.

Most intense lines, 2θ from 10° to 90°, sorted by position:
| 2θ (°) | I/Imax |
| --- | --- |
| 17.37 | 100 |
| 22.92 | 38 |
| 37.20 | 53 |
| 41.02 | 37 |
| 41.48 | 22 |
| 42.38 | 67 |
| 42.98 | 89 |
| 44.29 | 35 |
| 48.72 | 35 |
| 89.87 | 18 |

Structure:
```
Li2MgZn9
1.0
8.6761 0.0000 0.0000
0.0000 8.6761 0.0000
0.0000 0.0000 5.1063
Li Mg Zn
4 2 18
Direct
0.1151 0.3849 0.0000
0.3849 0.8849 0.0000
0.6151 0.1151 0.0000
0.8849 0.6151 0.0000
0.0000 0.0000 0.0000
0.5000 0.5000 0.0000
0.0000 0.5000 0.5000
0.0594 0.2043 0.5000
0.1813 0.6813 0.2352
0.1813 0.6813 0.7648
0.2043 0.9406 0.5000
0.2957 0.4406 0.5000
0.3187 0.1813 0.2352
0.3187 0.1813 0.7648
0.4406 0.7043 0.5000
0.5000 0.0000 0.5000
0.5594 0.2957 0.5000
0.6813 0.8187 0.2352
0.6813 0.8187 0.7648
0.7043 0.5594 0.5000
0.7957 0.0594 0.5000
0.8187 0.3187 0.2352
0.8187 0.3187 0.7648
0.9406 0.7957 0.5000
```

=====

No. 4
Diffraction record for Li3Mg3Zn2. The X-ray diffraction stick pattern is computed, not measured: it uses a cell relaxed with GGA-PBE and CuKα.
Neutral-atom scattering factors, no anomalous dispersion.

Most intense lines, 2θ from 10° to 90°, sorted by position:
| 2θ (°) | I/Imax |
| --- | --- |
| 19.39 | 43 |
| 32.32 | 24 |
| 33.78 | 28 |
| 37.94 | 100 |
| 38.05 | 33 |
| 39.36 | 29 |
| 40.17 | 29 |
| 41.42 | 13 |
| 44.12 | 20 |
| 51.94 | 18 |

Structure:
```
Li3Mg3Zn2
1.0
3.5199 0.0000 0.0000
-0.0137 4.4894 0.0000
-1.7453 -2.2196 9.1565
Li Mg Zn
3 3 2
Direct
0.0000 0.0000 0.0000
0.1365 0.6368 0.2737
0.8635 0.3632 0.7263
0.3692 0.8673 0.7349
0.5000 0.5000 0.0000
0.6308 0.1327 0.2651
0.2512 0.2519 0.5045
0.7488 0.7481 0.4955
```

=====

No. 5
Diffraction record for LiMg6Zn. The X-ray diffraction stick pattern is computed, not measured: it uses a cell relaxed with GGA-PBE and CuKα.
Neutral-atom scattering factors, no anomalous dispersion.

Most intense lines, 2θ from 10° to 90°, sorted by position:
| 2θ (°) | I/Imax |
| --- | --- |
| 16.50 | 44 |
| 24.08 | 36 |
| 33.35 | 23 |
| 33.95 | 15 |
| 35.24 | 40 |
| 37.86 | 100 |
| 38.09 | 46 |
| 59.93 | 16 |
| 64.97 | 19 |
| 71.46 | 18 |

Structure:
```
LiMg6Zn
1.0
5.0942 0.0000 0.0000
0.0000 3.1101 5.3340
0.0000 -3.1101 5.3340
Li Mg Zn
1 6 1
Direct
0.0000 0.0000 0.0000
0.0000 0.0002 0.4980
0.0000 0.4980 0.0002
0.5000 0.1670 0.1670
0.5000 0.1738 0.6676
0.5000 0.6654 0.6654
0.5000 0.6676 0.1738
0.0000 0.4988 0.4988
```

=====

No. 6
Diffraction record for Li5Mg3Zn2. The X-ray diffraction stick pattern is computed, not measured: it uses a cell relaxed with GGA-PBE and CuKα.
Neutral-atom scattering factors, no anomalous dispersion.

Most intense lines, 2θ from 10° to 90°, sorted by position:
| 2θ (°) | I/Imax |
| --- | --- |
| 18.75 | 44 |
| 22.09 | 95 |
| 24.51 | 39 |
| 27.53 | 100 |
| 31.85 | 36 |
| 37.77 | 57 |
| 40.59 | 57 |
| 41.73 | 65 |
| 43.12 | 43 |
| 43.32 | 37 |

Structure:
```
Li5Mg3Zn2
1.0
-3.6325 9.4634 2.8097
3.6325 -9.4634 2.8097
3.6325 9.4634 -2.8097
Li Mg Zn
10 6 4
Direct
0.0953 0.7500 0.3453
0.2242 0.1760 0.4002
0.2500 0.2500 0.0000
0.2758 0.6760 0.9517
0.4047 0.7500 0.6547
0.5953 0.2500 0.3453
0.7242 0.3240 0.0483
0.7500 0.7500 0.0000
0.7758 0.8240 0.5998
0.9047 0.2500 0.6547
0.1219 0.8479 0.9698
0.2500 0.7500 0.5000
0.3781 0.3479 0.7260
0.6219 0.6521 0.2740
0.7500 0.2500 0.5000
0.8781 0.1521 0.0302
0.0840 0.2324 0.3164
0.4160 0.7324 0.1484
0.5840 0.2676 0.8516
0.9160 0.7676 0.6836
```

=====

No. 7
Diffraction record for Li3Mg3Zn. The X-ray diffraction stick pattern is computed, not measured: it uses a cell relaxed with GGA-PBE and CuKα.
Neutral-atom scattering factors, no anomalous dispersion.

Most intense lines, 2θ from 10° to 90°, sorted by position:
| 2θ (°) | I/Imax |
| --- | --- |
| 21.86 | 27 |
| 22.52 | 89 |
| 25.29 | 25 |
| 33.67 | 21 |
| 37.73 | 22 |
| 38.74 | 100 |
| 44.57 | 22 |
| 59.78 | 18 |
| 68.79 | 17 |
| 69.60 | 14 |

Structure:
```
Li3Mg3Zn
1.0
8.1317 0.0000 0.0000
-4.0659 7.0423 0.0000
0.0000 0.0000 4.7688
Li Mg Zn
6 6 2
Direct
0.1065 0.5533 0.2500
0.4467 0.5533 0.2500
0.4467 0.8935 0.2500
0.5533 0.1065 0.7500
0.5533 0.4467 0.7500
0.8935 0.4467 0.7500
0.1378 0.2756 0.7500
0.1378 0.8622 0.7500
0.2756 0.1378 0.2500
0.7244 0.8622 0.7500
0.8622 0.1378 0.2500
0.8622 0.7244 0.2500
0.3333 0.6667 0.7500
0.6667 0.3333 0.2500
```

=====

No. 8
Diffraction record for LiMg5Zn4. The X-ray diffraction stick pattern is computed, not measured: it uses a cell relaxed with GGA-PBE and CuKα.
Neutral-atom scattering factors, no anomalous dispersion.

Most intense lines, 2θ from 10° to 90°, sorted by position:
| 2θ (°) | I/Imax |
| --- | --- |
| 10.68 | 10 |
| 26.78 | 13 |
| 26.90 | 6 |
| 38.29 | 100 |
| 47.37 | 5 |
| 55.19 | 11 |
| 55.45 | 6 |
| 69.18 | 21 |
| 69.35 | 10 |
| 82.06 | 6 |

Structure:
```
LiMg5Zn4
1.0
3.3288 0.0000 0.0000
0.0000 3.3288 0.0000
0.0000 0.0000 16.5727
Li Mg Zn
1 5 4
Direct
0.0000 0.0000 0.0000
0.5000 0.5000 0.1067
0.5000 0.5000 0.3043
0.5000 0.5000 0.5000
0.5000 0.5000 0.6957
0.5000 0.5000 0.8933
0.0000 0.0000 0.2045
0.0000 0.0000 0.4016
0.0000 0.0000 0.5984
0.0000 0.0000 0.7955
```

=====

No. 9
Diffraction record for Li5MgZn2. The X-ray diffraction stick pattern is computed, not measured: it uses a cell relaxed with GGA-PBE and CuKα.
Neutral-atom scattering factors, no anomalous dispersion.

Most intense lines, 2θ from 10° to 90°, sorted by position:
| 2θ (°) | I/Imax |
| --- | --- |
| 21.33 | 100 |
| 22.37 | 32 |
| 30.35 | 30 |
| 31.10 | 78 |
| 38.03 | 96 |
| 43.46 | 33 |
| 48.90 | 21 |
| 50.91 | 19 |
| 54.40 | 31 |
| 76.15 | 22 |

Structure:
```
Li5MgZn2
1.0
5.8879 0.0000 0.0000
0.0000 11.7834 0.0000
0.0000 0.0000 3.9746
Li Mg Zn
10 2 4
Direct
0.0000 0.0000 0.0000
0.0169 0.2476 0.0000
0.2338 0.8704 0.5000
0.2662 0.3704 0.5000
0.4831 0.7476 0.0000
0.5000 0.5000 0.0000
0.5169 0.2524 0.0000
0.7338 0.6296 0.5000
0.7662 0.1296 0.5000
0.9831 0.7524 0.0000
0.0000 0.5000 0.0000
0.5000 0.0000 0.0000
0.2471 0.6275 0.5000
0.2529 0.1275 0.5000
0.7471 0.8725 0.5000
0.7529 0.3725 0.5000
```

=====

No. 10
Diffraction record for LiMg2Zn9. The X-ray diffraction stick pattern is computed, not measured: it uses a cell relaxed with GGA-PBE and CuKα.
Neutral-atom scattering factors, no anomalous dispersion.

Most intense lines, 2θ from 10° to 90°, sorted by position:
| 2θ (°) | I/Imax |
| --- | --- |
| 17.12 | 100 |
| 22.68 | 29 |
| 36.77 | 61 |
| 40.46 | 34 |
| 41.00 | 35 |
| 41.80 | 95 |
| 42.51 | 98 |
| 43.80 | 49 |
| 46.14 | 21 |
| 48.08 | 44 |

Structure:
```
LiMg2Zn9
1.0
8.7684 0.0000 0.0000
0.0000 8.7684 0.0000
0.0000 0.0000 5.1791
Li Mg Zn
2 4 18
Direct
0.0000 0.0000 0.0000
0.5000 0.5000 0.0000
0.1224 0.3776 0.0000
0.3776 0.8776 0.0000
0.6224 0.1224 0.0000
0.8776 0.6224 0.0000
0.0000 0.5000 0.5000
0.0598 0.2003 0.5000
0.1782 0.6782 0.2381
0.1782 0.6782 0.7619
0.2003 0.9402 0.5000
0.2997 0.4402 0.5000
0.3218 0.1782 0.2381
0.3218 0.1782 0.7619
0.4402 0.7003 0.5000
0.5000 0.0000 0.5000
0.5598 0.2997 0.5000
0.6782 0.8218 0.2381
0.6782 0.8218 0.7619
0.7003 0.5598 0.5000
0.7997 0.0598 0.5000
0.8218 0.3218 0.2381
0.8218 0.3218 0.7619
0.9402 0.7997 0.5000
```

=====

No. 11
Diffraction record for Li7MgZn5. The X-ray diffraction stick pattern is computed, not measured: it uses a cell relaxed with GGA-PBE and CuKα.
Neutral-atom scattering factors, no anomalous dispersion.

Most intense lines, 2θ from 10° to 90°, sorted by position:
| 2θ (°) | I/Imax |
| --- | --- |
| 13.63 | 30 |
| 19.25 | 100 |
| 19.40 | 33 |
| 27.46 | 42 |
| 39.07 | 24 |
| 39.38 | 32 |
| 40.08 | 65 |
| 44.19 | 29 |
| 44.84 | 53 |
| 57.23 | 24 |

Structure:
```
Li7MgZn5
1.0
-2.5820 4.5757 4.6110
2.5820 -4.5757 4.6110
2.5820 4.5757 -4.6110
Li Mg Zn
7 1 5
Direct
0.0000 0.0000 0.0000
0.0254 0.6800 0.3454
0.3189 0.3189 0.0000
0.3345 0.6800 0.6546
0.4745 0.1748 0.2996
0.8752 0.1748 0.7004
0.8904 0.3904 0.5000
0.6535 0.6535 0.0000
0.1828 0.1815 0.5079
0.1828 0.6749 0.0013
0.4559 0.9559 0.5000
0.6736 0.1815 0.9987
0.6736 0.6749 0.4921
```

=====

No. 12
Diffraction record for Li6Mg2Zn3. The X-ray diffraction stick pattern is computed, not measured: it uses a cell relaxed with GGA-PBE and CuKα.
Neutral-atom scattering factors, no anomalous dispersion.

Most intense lines, 2θ from 10° to 90°, sorted by position:
| 2θ (°) | I/Imax |
| --- | --- |
| 23.62 | 100 |
| 33.33 | 67 |
| 33.96 | 52 |
| 37.52 | 58 |
| 38.72 | 20 |
| 42.98 | 57 |
| 47.02 | 20 |
| 47.85 | 32 |
| 62.34 | 24 |
| 66.25 | 29 |

Structure:
```
Li6Mg2Zn3
1.0
-1.9010 1.9010 13.8991
1.9010 -1.9010 13.8991
1.9010 1.9010 -13.8991
Li Mg Zn
6 2 3
Direct
0.1603 0.6603 0.5000
0.2436 0.2436 0.0000
0.3397 0.8397 0.5000
0.6603 0.1603 0.5000
0.7564 0.7564 0.0000
0.8397 0.3397 0.5000
0.4409 0.4409 0.0000
0.5591 0.5591 0.0000
0.0000 0.0000 0.0000
0.0928 0.0928 0.0000
0.9072 0.9072 0.0000
```